No. 1
Computed powder X-ray diffraction pattern
Compound: PmU2Ru5
Radiation: CuKα
Structure: a structure optimized by DFT (GGA-PBE)
Peak positions follow from Bragg's law for the DFT cell and can differ from measured ones.

Structure:
Cell lengths 6.903, 6.903, 6.903 Å; angles 142.44, 129.87, 64.30 degrees
Positions (direct):
Pm: 0.000 0.000 0.000
U: 0.271 0.771 0.500
U: 0.729 0.229 0.500
Ru: 0.153 0.382 0.771
Ru: 0.388 0.618 0.771
Ru: 0.500 0.000 0.500
Ru: 0.612 0.382 0.229
Ru: 0.847 0.618 0.229

Principal peaks in the range 2θ from 5° to 70°, in order of rising 2θ:
- 3.539 Å, rel. 29
- 3.027 Å, rel. 73
- 2.927 Å, rel. 26
- 2.391 Å, rel. 59
- 2.253 Å, rel. 22
- 2.222 Å, rel. 41
- 2.068 Å, rel. 100
- 1.707 Å, rel. 21
- 1.514 Å, rel. 42
- 1.462 Å, rel. 16


No. 2
Computed powder X-ray diffraction pattern
Compound: Pr2AlHg2
Radiation: CuKα
Structure: a structure optimized by DFT (GGA-PBE)
Peak positions follow from Bragg's law for the DFT cell and can differ from measured ones.

Structure:
Cell lengths 6.181, 6.181, 11.456 Å; angles 115.57, 115.57, 44.09 degrees
Positions (direct):
Pr: 0.008 0.008 0.338
Pr: 0.187 0.187 0.106
Pr: 0.813 0.813 0.894
Pr: 0.992 0.992 0.662
Al: 0.282 0.282 0.662
Al: 0.718 0.718 0.338
Hg: 0.348 0.348 0.440
Hg: 0.472 0.472 0.119
Hg: 0.528 0.528 0.881
Hg: 0.652 0.652 0.560

Principal peaks in the range 2θ from 5° to 70°, in order of rising 2θ:
- 3.653 Å, rel. 16
- 2.929 Å, rel. 100
- 2.862 Å, rel. 28
- 2.673 Å, rel. 16
- 2.535 Å, rel. 13
- 2.419 Å, rel. 41
- 2.320 Å, rel. 27
- 1.802 Å, rel. 15
- 1.543 Å, rel. 15
- 1.431 Å, rel. 14


No. 3
Computed powder X-ray diffraction pattern
Compound: NpIBr4
Radiation: CuKα
Structure: a structure optimized by DFT (GGA-PBE)
Peak positions follow from Bragg's law for the DFT cell and can differ from measured ones.

Structure:
Cell lengths 6.069, 14.942, 7.206 Å; angles 90.00, 115.04, 90.00 degrees
Positions (direct):
Np: 0.000 0.000 0.000
Np: 0.000 0.500 0.500
I: 0.500 0.000 0.000
I: 0.500 0.500 0.500
Br: 0.140 0.129 0.276
Br: 0.140 0.371 0.776
Br: 0.149 0.621 0.795
Br: 0.149 0.879 0.295
Br: 0.851 0.121 0.705
Br: 0.851 0.379 0.205
Br: 0.860 0.629 0.224
Br: 0.860 0.871 0.724

Principal peaks in the range 2θ from 5° to 70°, in order of rising 2θ:
- 7.471 Å, rel. 100
- 5.982 Å, rel. 89
- 5.499 Å, rel. 38
- 5.169 Å, rel. 44
- 3.960 Å, rel. 62
- 2.974 Å, rel. 63
- 2.717 Å, rel. 24
- 2.458 Å, rel. 45
- 2.216 Å, rel. 29
- 2.030 Å, rel. 45


No. 4
Computed powder X-ray diffraction pattern
Compound: Mg6Ni5
Radiation: CuKα
Structure: a structure optimized by DFT (GGA-PBE)
Peak positions follow from Bragg's law for the DFT cell and can differ from measured ones.

Structure:
Cell lengths 7.482, 7.482, 7.482 Å; angles 146.31, 132.77, 59.26 degrees
Positions (direct):
Mg: 0.081 0.336 0.745
Mg: 0.242 0.000 0.242
Mg: 0.410 0.664 0.745
Mg: 0.590 0.336 0.255
Mg: 0.758 0.000 0.758
Mg: 0.919 0.664 0.255
Ni: 0.174 0.174 0.000
Ni: 0.337 0.837 0.500
Ni: 0.500 0.500 0.000
Ni: 0.663 0.163 0.500
Ni: 0.826 0.826 0.000

Principal peaks in the range 2θ from 5° to 70°, in order of rising 2θ:
- 6.504 Å, rel. 9
- 5.444 Å, rel. 12
- 3.513 Å, rel. 7
- 3.066 Å, rel. 18
- 2.997 Å, rel. 9
- 2.386 Å, rel. 7
- 2.168 Å, rel. 52
- 2.143 Å, rel. 100
- 1.533 Å, rel. 16
- 1.499 Å, rel. 7


No. 5
Computed powder X-ray diffraction pattern
Compound: Ac6Sn2Te3As
Radiation: CuKα
Structure: a structure optimized by DFT (GGA-PBE)
Peak positions follow from Bragg's law for the DFT cell and can differ from measured ones.

Structure:
Cell lengths 10.643, 10.643, 9.524 Å; angles 103.10, 103.10, 25.83 degrees
Positions (direct):
Ac: 0.003 0.003 0.234
Ac: 0.331 0.331 0.425
Ac: 0.340 0.340 0.913
Ac: 0.660 0.660 0.087
Ac: 0.669 0.669 0.575
Ac: 0.997 0.997 0.766
Sn: 0.165 0.165 0.330
Sn: 0.835 0.835 0.670
Te: 0.167 0.167 0.834
Te: 0.500 0.500 0.500
Te: 0.833 0.833 0.166
As: 0.500 0.500 0.000

Principal peaks in the range 2θ from 5° to 70°, in order of rising 2θ:
- 3.885 Å, rel. 18
- 3.365 Å, rel. 100
- 2.379 Å, rel. 78
- 2.029 Å, rel. 8
- 1.946 Å, rel. 7
- 1.941 Å, rel. 22
- 1.682 Å, rel. 13
- 1.505 Å, rel. 24
- 1.503 Å, rel. 13
- 1.373 Å, rel. 18


No. 6
Computed powder X-ray diffraction pattern
Compound: In2H3Ir2
Radiation: CuKα
Structure: a structure optimized by DFT (GGA-PBE)
Peak positions follow from Bragg's law for the DFT cell and can differ from measured ones.

Structure:
Cell lengths 3.067, 4.486, 6.908 Å; angles 90.00, 90.50, 90.00 degrees
Positions (direct):
In: 0.001 0.000 0.258
In: 0.999 0.000 0.742
H: 0.277 0.500 0.000
H: 0.500 0.500 0.500
H: 0.723 0.500 0.000
Ir: 0.499 0.500 0.760
Ir: 0.501 0.500 0.240

Principal peaks in the range 2θ from 5° to 70°, in order of rising 2θ:
- 3.454 Å, rel. 100
- 2.532 Å, rel. 91
- 2.243 Å, rel. 32
- 2.049 Å, rel. 49
- 2.035 Å, rel. 47
- 1.881 Å, rel. 37
- 1.727 Å, rel. 14
- 1.432 Å, rel. 15
- 1.422 Å, rel. 14
- 1.368 Å, rel. 13


- What is the formula in the fifth record?
  Ac6Sn2Te3As